1.
For La2PmY12, a DFT-relaxed cell (GGA-PBE, Alexandria) gives the theoretical powder diffraction line list in this record (Cu Kα).

Cell and atoms:
Unit cell a=7.1284 b=11.4832 c=25.0594 alpha=90.00 beta=90.00 gamma=90.00
Space group Cmme (No. 67)
Symmetry-distinct sites (fractional):
La1 0.0000 0.2500 0.2312
La2 0.0000 0.2500 0.7686
Pm1 0.0000 0.2500 0.5000
Y1 0.0000 0.0000 0.4225
Y2 0.0000 0.0007 0.0616
Y3 0.2494 0.2500 0.9159
Y4 0.2500 0.0000 0.1720
Y5 0.2500 0.0000 0.3016
Y6 0.2500 0.2500 0.3738

Largest 10 diffraction maxima, sorted by position, 15° ≤ 2θ ≤ 90°:
2θ = 28.82°, rel. 41.7, (2 0 4)
2θ = 29.40°, rel. 72.0, (0 2 7)
2θ = 30.37°, rel. 87.9, (2 2 2)
2θ = 31.15°, rel. 100.0, (0 4 0)
2θ = 31.42°, rel. 35.4, (2 2 3)
2θ = 32.56°, rel. 78.3, (0 2 8)
2θ = 32.85°, rel. 76.4, (2 2 4)
2θ = 36.66°, rel. 48.4, (2 2 6)
2θ = 57.78°, rel. 30.2, (2 4 11)
2θ = 61.22°, rel. 28.0, (4 4 0)

---

2.
For La8Pm3Y2, a DFT-relaxed cell (GGA-PBE, Alexandria) gives the theoretical powder diffraction line list in this record (Cu Kα).

Cell and atoms:
Unit cell a=14.7896 b=11.2736 c=5.8893 alpha=90.00 beta=108.80 gamma=90.00
Space group C2/m (No. 12)
Symmetry-distinct sites (fractional):
La1 0.0773 0.0000 0.2290
La2 0.1607 0.5000 0.6226
La3 0.1684 0.2688 0.1693
Pm1 0.0000 0.2459 0.5000
Pm2 0.0000 0.5000 0.0000
Y1 0.1738 0.0000 0.8013

Largest 10 diffraction maxima, sorted by position, 15° ≤ 2θ ≤ 90°:
2θ = 28.30°, rel. 56.2, (2 2 1)
2θ = 29.73°, rel. 18.2, (3 1 1)
2θ = 29.94°, rel. 100.0, (4 2 -1)
2θ = 30.46°, rel. 26.7, (2 0 -2)
2θ = 31.72°, rel. 63.8, (0 4 0)
2θ = 37.48°, rel. 12.3, (3 3 1)
2θ = 38.58°, rel. 12.9, (6 0 0)
2θ = 44.57°, rel. 15.9, (2 4 -2)
2θ = 50.80°, rel. 10.4, (6 4 0)
2θ = 55.44°, rel. 19.1, (4 6 -1)

---

3.
For La8Pm3Y, a DFT-relaxed cell (GGA-PBE, Alexandria) gives the theoretical powder diffraction line list in this record (Cu Kα).

Cell and atoms:
Unit cell a=6.8354 b=11.3824 c=11.7982 alpha=90.00 beta=90.00 gamma=90.00
Space group Immm (No. 71)
Symmetry-distinct sites (fractional):
La1 0.0000 0.1648 0.2493
La2 0.2231 0.2716 0.5000
Pm1 0.0000 0.0000 0.5000
Pm2 0.0000 0.5000 0.2661
Y1 0.0000 0.0000 0.0000

Largest 10 diffraction maxima, sorted by position, 15° ≤ 2θ ≤ 90°:
2θ = 26.88°, rel. 17.2, (1 3 0)
2θ = 30.26°, rel. 100.0, (0 0 4)
2θ = 30.51°, rel. 24.0, (2 2 0)
2θ = 30.93°, rel. 92.1, (1 3 2)
2θ = 34.17°, rel. 31.1, (2 2 2)
2θ = 35.01°, rel. 15.2, (0 4 2)
2θ = 43.53°, rel. 19.6, (2 2 4)
2θ = 49.13°, rel. 19.2, (3 3 2)
2θ = 54.23°, rel. 17.3, (1 3 6)
2θ = 64.45°, rel. 18.1, (2 6 4)

---

4.
For La3Pm3Y, a DFT-relaxed cell (GGA-PBE, Alexandria) gives the theoretical powder diffraction line list in this record (Cu Kα).

Cell and atoms:
Unit cell a=9.8644 b=9.8644 c=5.9239 alpha=90.00 beta=90.00 gamma=120.00
Space group P6_3/m (No. 176)
Symmetry-distinct sites (fractional):
La1 0.0447 0.2417 0.2500
Pm1 0.0950 0.4797 0.7500
Y1 0.3333 0.6667 0.2500

Largest 10 diffraction maxima, sorted by position, 15° ≤ 2θ ≤ 90°:
2θ = 27.63°, rel. 23.6, (2 1 0)
2θ = 30.17°, rel. 25.0, (0 0 2)
2θ = 31.56°, rel. 100.0, (2 1 1)
2θ = 41.37°, rel. 15.9, (2 1 2)
2θ = 48.86°, rel. 19.9, (1 4 0)
2θ = 54.47°, rel. 21.2, (2 1 3)
2θ = 58.50°, rel. 22.6, (1 4 2)
2θ = 59.33°, rel. 16.2, (4 2 1)
2θ = 80.33°, rel. 13.3, (7 0 1)
2θ = 83.34°, rel. 8.3, (1 4 4)

---

5.
For LaPm5Y12, a DFT-relaxed cell (GGA-PBE, Alexandria) gives the theoretical powder diffraction line list in this record (Cu Kα).

Cell and atoms:
Unit cell a=10.8044 b=5.1026 c=10.8161 alpha=90.00 beta=90.13 gamma=90.00
Space group P2/m (No. 10)
Symmetry-distinct sites (fractional):
La1 0.0000 0.0000 0.0000
Pm1 0.1680 0.5000 0.8319
Pm2 0.3334 0.0000 0.6666
Pm3 0.5000 0.5000 0.5000
Y1 0.0003 0.0000 0.3352
Y2 0.1668 0.5000 0.4994
Y3 0.1681 0.5000 0.1681
Y4 0.3327 0.0000 0.3328
Y5 0.3353 0.0000 0.0002
Y6 0.4994 0.5000 0.1669

Largest 10 diffraction maxima, sorted by position, 15° ≤ 2θ ≤ 90°:
2θ = 25.37°, rel. 4.3, (2 1 -1)
2θ = 30.37°, rel. 100.0, (3 1 0)
2θ = 35.21°, rel. 50.2, (3 0 3)
2θ = 50.64°, rel. 35.2, (6 0 0)
2θ = 60.16°, rel. 27.7, (3 3 0)
2θ = 60.28°, rel. 13.7, (6 1 3)
2θ = 63.18°, rel. 11.9, (6 2 0)
2θ = 82.40°, rel. 5.6, (6 3 -3)
2θ = 82.48°, rel. 8.3, (6 3 3)
2θ = 85.03°, rel. 9.1, (3 4 3)

---

6.
For La2Pm2Y15, a DFT-relaxed cell (GGA-PBE, Alexandria) gives the theoretical powder diffraction line list in this record (Cu Kα).

Cell and atoms:
Unit cell a=11.3623 b=11.3623 c=17.6999 alpha=90.00 beta=90.00 gamma=120.00
Space group R-3m (No. 166, hexagonal axes)
Symmetry-distinct sites (fractional):
La1 0.0000 0.0000 0.1172
Pm1 0.0000 0.0000 0.3305
Y1 0.0000 0.3032 0.0000
Y2 0.0000 0.5000 0.5000
Y3 0.0156 0.5078 0.1387

Largest 10 diffraction maxima, sorted by position, 15° ≤ 2θ ≤ 90°:
2θ = 25.99°, rel. 12.4, (1 2 2)
2θ = 27.15°, rel. 67.0, (3 0 0)
2θ = 30.30°, rel. 24.8, (0 0 6)
2θ = 31.17°, rel. 100.0, (2 0 5)
2θ = 31.48°, rel. 62.4, (2 2 0)
2θ = 35.06°, rel. 45.1, (2 2 3)
2θ = 44.90°, rel. 13.3, (2 0 8)
2θ = 54.40°, rel. 21.9, (0 3 9)
2θ = 55.86°, rel. 19.4, (0 4 8)
2θ = 56.07°, rel. 25.2, (6 0 0)

---

7.
For La4PmY8, a DFT-relaxed cell (GGA-PBE, Alexandria) gives the theoretical powder diffraction line list in this record (Cu Kα).

Cell and atoms:
Unit cell a=11.1798 b=11.1798 c=13.6530 alpha=90.00 beta=90.00 gamma=120.00
Space group R-3m (No. 166, hexagonal axes)
Symmetry-distinct sites (fractional):
La1 0.0000 0.0000 0.0000
La2 0.0000 0.5000 0.0000
Pm1 0.0000 0.0000 0.5000
Y1 0.0000 0.0000 0.2400
Y2 0.0131 0.5065 0.7462

Largest 10 diffraction maxima, sorted by position, 15° ≤ 2θ ≤ 90°:
2θ = 15.87°, rel. 6.2, (0 1 2)
2θ = 19.47°, rel. 18.7, (0 0 3)
2θ = 25.22°, rel. 6.9, (1 1 3)
2θ = 32.05°, rel. 100.0, (2 2 0)
2θ = 37.78°, rel. 10.3, (2 2 3)
2θ = 45.97°, rel. 17.8, (4 0 4)
2θ = 57.10°, rel. 27.3, (6 0 0)
2θ = 57.24°, rel. 9.0, (2 0 8)
2θ = 76.20°, rel. 7.4, (6 2 4)
2θ = 76.30°, rel. 7.4, (4 2 8)

---

8.
For LaPm4Y4, a DFT-relaxed cell (GGA-PBE, Alexandria) gives the theoretical powder diffraction line list in this record (Cu Kα).

Cell and atoms:
Unit cell a=6.2765 b=9.6068 c=10.8674 alpha=100.90 beta=106.53 gamma=96.17
Space group P-1 (No. 2)
Symmetry-distinct sites (fractional):
La1 0.2488 0.0837 0.3043
Pm1 0.2494 0.7474 0.0826
Pm2 0.2502 0.7482 0.7510
Pm3 0.2509 0.4171 0.5283
Pm4 0.2520 0.0845 0.6407
Y1 0.2462 0.7474 0.4154
Y2 0.2496 0.4183 0.1931
Y3 0.2503 0.4175 0.8622
Y4 0.2525 0.0839 0.9721

Largest 10 diffraction maxima, sorted by position, 15° ≤ 2θ ≤ 90°:
2θ = 30.17°, rel. 100.0, (2 0 0)
2θ = 34.92°, rel. 33.7, (1 3 0)
2θ = 35.08°, rel. 16.7, (-2 1 3)
2θ = 50.31°, rel. 23.7, (3 2 -3)
2θ = 59.64°, rel. 7.1, (3 3 0)
2θ = 59.72°, rel. 17.6, (0 6 0)
2θ = 59.92°, rel. 13.9, (3 1 -6)
2θ = 62.69°, rel. 6.1, (4 0 0)
2θ = 62.78°, rel. 6.0, (2 4 -6)
2θ = 81.89°, rel. 8.5, (5 2 -3)

---

9.
For La4Pm2Y7, a DFT-relaxed cell (GGA-PBE, Alexandria) gives the theoretical powder diffraction line list in this record (Cu Kα).

Cell and atoms:
Unit cell a=6.2916 b=8.1346 c=9.6277 alpha=65.22 beta=83.91 gamma=82.75
Space group P-1 (No. 2)
Symmetry-distinct sites (fractional):
La1 0.0378 0.4239 0.3475
La2 0.1928 0.1155 0.7316
Pm1 0.3464 0.8072 0.1152
Y1 0.1175 0.2715 0.0383
Y2 0.2704 0.9627 0.4220
Y3 0.4238 0.6536 0.8089
Y4 0.5000 0.5000 0.5000

Largest 10 diffraction maxima, sorted by position, 15° ≤ 2θ ≤ 90°:
2θ = 30.03°, rel. 100.0, (0 2 -1)
2θ = 30.12°, rel. 99.3, (2 1 0)
2θ = 34.84°, rel. 67.1, (2 -1 1)
2θ = 34.93°, rel. 33.3, (1 3 2)
2θ = 50.07°, rel. 35.5, (2 3 -1)
2θ = 50.16°, rel. 23.6, (0 3 5)
2θ = 59.46°, rel. 21.0, (0 1 6)
2θ = 59.57°, rel. 41.8, (3 0 4)
2θ = 59.72°, rel. 20.7, (4 0 1)
2θ = 62.55°, rel. 12.0, (2 2 6)

---

10.
For La2Pm5Y2, a DFT-relaxed cell (GGA-PBE, Alexandria) gives the theoretical powder diffraction line list in this record (Cu Kα).

Cell and atoms:
Unit cell a=17.6905 b=3.5835 c=9.9587 alpha=90.00 beta=99.71 gamma=90.00
Space group C2/m (No. 12)
Symmetry-distinct sites (fractional):
La1 0.1766 0.0000 0.3754
Pm1 0.0000 0.5000 0.5000
Pm2 0.1569 0.5000 0.0358
Pm3 0.1640 0.0000 0.7184
Y1 0.0016 0.0000 0.1685

Largest 10 diffraction maxima, sorted by position, 15° ≤ 2θ ≤ 90°:
2θ = 29.89°, rel. 28.0, (3 1 -1)
2θ = 30.78°, rel. 100.0, (2 0 3)
2θ = 31.29°, rel. 33.0, (4 0 -3)
2θ = 31.47°, rel. 33.2, (3 1 1)
2θ = 44.31°, rel. 9.9, (1 1 -4)
2θ = 45.63°, rel. 13.2, (7 1 -2)
2θ = 54.29°, rel. 9.7, (1 1 5)
2θ = 55.37°, rel. 11.6, (10 0 -3)
2θ = 60.72°, rel. 19.6, (2 2 3)
2θ = 61.03°, rel. 9.7, (4 2 -3)

---

11.
For LaPm2Y8, a DFT-relaxed cell (GGA-PBE, Alexandria) gives the theoretical powder diffraction line list in this record (Cu Kα).

Cell and atoms:
Unit cell a=5.5585 b=8.2100 c=16.2533 alpha=90.00 beta=90.00 gamma=90.00
Space group Immm (No. 71)
Symmetry-distinct sites (fractional):
La1 0.0000 0.0000 0.0000
Pm1 0.0000 0.0000 0.3008
Y1 0.0000 0.2057 0.5000
Y2 0.0000 0.2930 0.1408
Y3 0.0000 0.5000 0.3380

Largest 10 diffraction maxima, sorted by position, 15° ≤ 2θ ≤ 90°:
2θ = 29.32°, rel. 28.0, (1 1 4)
2θ = 31.73°, rel. 100.0, (1 2 3)
2θ = 31.89°, rel. 13.1, (1 0 5)
2θ = 32.21°, rel. 33.0, (2 0 0)
2θ = 33.07°, rel. 14.7, (0 0 6)
2θ = 46.87°, rel. 17.4, (2 0 6)
2θ = 51.62°, rel. 10.0, (0 3 7)
2θ = 55.67°, rel. 12.1, (2 4 0)
2θ = 57.14°, rel. 20.6, (3 2 3)
2θ = 62.16°, rel. 11.3, (2 3 7)

---

12.
For La2PmY4, a DFT-relaxed cell (GGA-PBE, Alexandria) gives the theoretical powder diffraction line list in this record (Cu Kα).

Cell and atoms:
Unit cell a=4.6278 b=4.6278 c=22.9924 alpha=90.00 beta=90.00 gamma=90.00
Space group I4/mmm (No. 139)
Symmetry-distinct sites (fractional):
La1 0.0000 0.0000 0.0959
Pm1 0.0000 0.0000 0.5000
Y1 0.0000 0.0000 0.3607
Y2 0.0000 0.5000 0.2500

Largest 10 diffraction maxima, sorted by position, 15° ≤ 2θ ≤ 90°:
2θ = 27.30°, rel. 100.0, (1 1 0)
2θ = 28.36°, rel. 65.4, (1 1 2)
2θ = 31.12°, rel. 20.3, (0 0 8)
2θ = 31.46°, rel. 53.7, (1 1 4)
2θ = 33.45°, rel. 56.5, (1 0 7)
2θ = 38.92°, rel. 54.9, (2 0 0)
2θ = 48.22°, rel. 25.1, (2 1 5)
2θ = 48.38°, rel. 19.6, (1 1 10)
2θ = 50.65°, rel. 20.3, (2 0 8)
2θ = 52.24°, rel. 31.4, (2 1 7)